Starting from a crystal structure in the Materials Project, relaxed with GGA+U, the powder diffractogram of Li3CrO4 was calculated for copper Kα.

Structure:
a = 5.151 Å, b = 5.437 Å, c = 7.825 Å
α = 82.93°, β = 71.83°, γ = 64.24°
Positions (direct):
Li  0.000  0.000  0.000
Li  0.012  0.526  0.168
Li  0.341  0.476  0.416
Li  0.585  0.904  0.799
Li  0.777  0.903  0.460
Li  0.827  0.407  0.537
Cr  0.218  0.486  0.767
Cr  0.397  0.924  0.231
O  0.083  0.322  0.947
O  0.121  0.824  0.229
O  0.210  0.244  0.330
O  0.313  0.726  0.812
O  0.540  0.236  0.620
O  0.609  0.681  0.361
O  0.652  0.925  0.031
O  0.968  0.634  0.632

Largest 10 diffraction maxima, by angle, 2θ = 10–90°:
| index | d (Å) | 2θ (°) | I (rel.) |
| --- | --- | --- | --- |
| 1 0 0 | 4.441 | 19.99 | 65 |
| 1 1 0 | 4.312 | 20.60 | 32 |
| 1 1 1 | 4.258 | 20.86 | 84 |
| 0 1 -1 | 4.116 | 21.59 | 74 |
| 0 1 1 | 4.062 | 21.88 | 72 |
| 0 0 2 | 3.717 | 23.94 | 47 |
| 1 0 2 | 3.366 | 26.48 | 100 |
| 1 -1 1 | 2.763 | 32.40 | 30 |
| 1 0 -2 | 2.515 | 35.70 | 21 |
| 1 -1 3 | 2.044 | 44.32 | 42 |

Starting from a crystal structure in the Materials Project, relaxed with GGA+U, the powder diffractogram of LiCr2O5 was calculated for copper Kα.

Structure:
a = 8.278 Å, b = 6.085 Å, c = 8.000 Å
α = 90.00°, β = 90.00°, γ = 90.00°
Positions (direct):
Li  0.159  0.250  0.155
Li  0.341  0.750  0.655
Li  0.659  0.250  0.345
Li  0.841  0.750  0.845
Cr  0.000  0.000  0.500
Cr  0.000  0.500  0.500
Cr  0.166  0.750  0.145
Cr  0.334  0.250  0.645
Cr  0.500  0.000  0.000
Cr  0.500  0.500  0.000
Cr  0.666  0.750  0.355
Cr  0.834  0.250  0.855
O  0.023  0.750  0.008
O  0.054  0.250  0.368
O  0.089  0.750  0.350
O  0.217  0.023  0.618
O  0.217  0.477  0.618
O  0.283  0.523  0.118
O  0.283  0.977  0.118
O  0.411  0.250  0.850
O  0.446  0.750  0.868
O  0.477  0.250  0.508
O  0.523  0.750  0.492
O  0.554  0.250  0.132
O  0.589  0.750  0.150
O  0.717  0.023  0.882
O  0.717  0.477  0.882
O  0.783  0.523  0.382
O  0.783  0.977  0.382
O  0.911  0.250  0.650
O  0.946  0.750  0.632
O  0.977  0.250  0.992

Largest 10 diffraction maxima, by angle, 2θ = 10–90°:
| index | d (Å) | 2θ (°) | I (rel.) |
| --- | --- | --- | --- |
| 1 0 1 | 5.753 | 15.40 | 100 |
| 0 1 1 | 4.843 | 18.32 | 66 |
| 1 1 1 | 4.180 | 21.25 | 45 |
| 2 0 1 | 3.676 | 24.21 | 48 |
| 1 0 2 | 3.602 | 24.72 | 79 |
| 2 1 0 | 3.422 | 26.04 | 36 |
| 2 0 2 | 2.876 | 31.09 | 46 |
| 1 2 1 | 2.690 | 33.31 | 82 |
| 2 2 1 | 2.344 | 38.41 | 59 |
| 3 2 3 | 1.622 | 56.75 | 53 |

Starting from a crystal structure in the Materials Project, relaxed with GGA+U, the powder diffractogram of Li2Cr2O7 was calculated for copper Kα.

Structure:
a = 6.563 Å, b = 6.764 Å, c = 7.109 Å
α = 67.86°, β = 89.79°, γ = 83.20°
Positions (direct):
Li  0.127  0.203  0.354
Li  0.314  0.391  0.737
Li  0.686  0.609  0.263
Li  0.873  0.797  0.646
Cr  0.160  0.736  0.253
Cr  0.392  0.840  0.815
Cr  0.608  0.160  0.185
Cr  0.840  0.264  0.747
O  0.036  0.333  0.838
O  0.078  0.916  0.348
O  0.243  0.690  0.759
O  0.277  0.522  0.434
O  0.335  0.843  0.061
O  0.357  0.086  0.646
O  0.368  0.264  0.170
O  0.632  0.736  0.830
O  0.643  0.914  0.354
O  0.665  0.157  0.939
O  0.723  0.478  0.566
O  0.757  0.310  0.241
O  0.922  0.084  0.652
O  0.964  0.667  0.162

Largest 10 diffraction maxima, by angle, 2θ = 10–90°:
| index | d (Å) | 2θ (°) | I (rel.) |
| --- | --- | --- | --- |
| 1 1 1 | 4.477 | 19.83 | 79 |
| 1 -1 0 | 4.236 | 20.97 | 100 |
| 1 1 -1 | 3.475 | 25.64 | 53 |
| 0 0 2 | 3.289 | 27.11 | 63 |
| 1 -1 1 | 3.171 | 28.14 | 42 |
| 1 2 1 | 3.120 | 28.62 | 37 |
| 0 2 0 | 3.108 | 28.73 | 32 |
| -1 1 2 | 3.058 | 29.20 | 60 |
| 2 0 -1 | 2.970 | 30.08 | 45 |
| 2 1 1 | 2.930 | 30.51 | 37 |